Record 1
Starting from a crystal structure in Alexandria, relaxed with PBE, the XRD peak list of UNbS2 was computed for copper Kα.

Most intense lines, 2θ = 15–90°, in order of rising 2θ:
25.81 deg, rel. 16
28.03 deg, rel. 78
30.51 deg, rel. 27
31.74 deg, rel. 29
34.05 deg, rel. 53
34.48 deg, rel. 100
45.40 deg, rel. 25
48.40 deg, rel. 37
50.07 deg, rel. 34
55.70 deg, rel. 15
57.31 deg, rel. 13
57.96 deg, rel. 27

Cell and atoms:
Lattice parameters (Å, degrees): 5.271 3.995 6.861 90.00 92.42 90.00
Atoms (fractional coordinates):
U: 0.248 0.250 0.355
U: 0.752 0.750 0.645
Nb: 0.285 0.250 0.846
Nb: 0.715 0.750 0.154
S: 0.219 0.750 0.091
S: 0.253 0.750 0.626
S: 0.747 0.250 0.374
S: 0.781 0.250 0.909

=====

Record 2
Starting from a crystal structure in Alexandria, relaxed with PBE, the XRD peak list of La4NdEr2Tm was computed for copper Kα.

Most intense lines, 2θ = 15–90°, in order of rising 2θ:
30.04 deg, rel. 100
34.38 deg, rel. 35
35.69 deg, rel. 16
49.34 deg, rel. 6
49.48 deg, rel. 6
50.40 deg, rel. 24
58.87 deg, rel. 15
58.96 deg, rel. 15
60.66 deg, rel. 14
62.37 deg, rel. 6
62.49 deg, rel. 6
81.93 deg, rel. 6

Cell and atoms:
Lattice parameters (Å, degrees): 10.062 7.368 7.388 90.00 90.08 90.00
Atoms (fractional coordinates):
La: 0.250 0.250 0.248
La: 0.250 0.250 0.752
La: 0.250 0.750 0.248
La: 0.250 0.750 0.752
La: 0.750 0.250 0.248
La: 0.750 0.250 0.752
La: 0.750 0.750 0.248
La: 0.750 0.750 0.752
Nd: 0.000 0.000 0.500
Nd: 0.500 0.500 0.500
Er: 0.000 0.000 0.000
Er: 0.000 0.500 0.500
Er: 0.500 0.000 0.500
Er: 0.500 0.500 0.000
Tm: 0.000 0.500 0.000
Tm: 0.500 0.000 0.000